Computed PXRD pattern of Pm9Dy11Th4 for CuKα, from a structure optimized by DFT (PBE).
Kinematic intensities with the Lorentz-polarization factor, no thermal factor.

Atomic structure:
Cell: 15.639 15.639 3.631 Å, 90.00 90.00 116.72°
Sites, in units of the cell vectors:
1 Pm 0.000 0.000 0.000
2 Pm 0.113 0.671 0.000
3 Pm 0.297 0.481 0.000
4 Pm 0.329 0.887 0.000
5 Pm 0.481 0.297 0.000
6 Pm 0.519 0.703 0.000
7 Pm 0.671 0.113 0.000
8 Pm 0.703 0.519 0.000
9 Pm 0.887 0.329 0.000
10 Dy 0.097 0.464 0.500
11 Dy 0.125 0.875 0.500
12 Dy 0.280 0.280 0.500
13 Dy 0.315 0.685 0.500
14 Dy 0.464 0.097 0.500
15 Dy 0.500 0.500 0.500
16 Dy 0.536 0.903 0.500
17 Dy 0.685 0.315 0.500
18 Dy 0.720 0.720 0.500
19 Dy 0.875 0.125 0.500
20 Dy 0.903 0.536 0.500
21 Th 0.081 0.254 0.000
22 Th 0.254 0.081 0.000
23 Th 0.746 0.919 0.000
24 Th 0.919 0.746 0.000

Principal peaks in the range 5° ≤ 2θ ≤ 70°, low angle first:
Position (°2θ), I/Imax
29.66, 98
30.28, 55
31.84, 100
32.04, 87
32.94, 95
33.67, 48
37.08, 35
50.23, 38
53.37, 62
59.32, 61